# LiLa2Nb8O24
Calculated X-ray powder pattern, Cu Kα, 1.54184 Å. Input: the GGA-PBE geometry in the Materials Project.
Neutral-atom scattering factors, no anomalous dispersion.

Cell and atoms:
```
data_LiLa2Nb8O24
_chemical_formula_sum 'Li2 La4 Nb16 O48'
_space_group_name_H-M_alt 'C m m m'
_space_group_IT_number 65
_space_group_name_Hall '-C 2 2'
_cell_length_a 7.948
_cell_length_b 16.091
_cell_length_c 7.948
_cell_angle_alpha 90.00
_cell_angle_beta 90.00
_cell_angle_gamma 90.00
loop_
_atom_site_label
_atom_site_type_symbol
_atom_site_fract_x
_atom_site_fract_y
_atom_site_fract_z
Li1 Li 0.000 0.000 0.000
La1 La 0.000 0.000 0.500
La2 La 0.000 0.500 0.000
Nb1 Nb 0.249 0.371 0.251
O1 O 0.000 0.114 0.255
O2 O 0.000 0.384 0.239
O3 O 0.239 0.116 0.500
O4 O 0.245 0.386 0.000
O5 O 0.247 0.000 0.247
O6 O 0.250 0.250 0.250
```

Peak list (10 most intense, 15° ≤ 2θ ≤ 90°, sorted by position)
2theta	I/Imax	index
16.71	45	1 1 1
22.10	30	0 4 0
22.37	61	2 0 0
24.99	23	2 2 0
31.65	100	2 4 0
31.85	50	2 0 2
45.07	21	0 8 0
45.66	43	4 0 0
56.62	39	4 4 2
66.10	24	4 8 0